Structure and simulated PXRD pattern of Li5Mg (a DFT-relaxed cell (PBE, the Materials Project); λ = 1.5418 Å (Cu Kα)).

Peak list (6 most intense, 2θ = 5–70°, low angle first)
| two_theta | d_spacing | I (rel.) |
| --- | --- | --- |
| 12.67 | 6.986 | 100 |
| 16.27 | 5.448 | 57 |
| 17.83 | 4.975 | 46 |
| 36.11 | 2.488 | 46 |
| 38.34 | 2.348 | 75 |
| 38.45 | 2.341 | 92 |

Cell and atoms:
Cell: 5.8517 5.8517 7.2397 Å, 104.66 104.66 30.48°
Atoms (fractional coordinates):
Li: 0.0000 0.0000 0.0000
Li: 0.0552 0.0552 0.6097
Li: 0.3344 0.3344 0.6660
Li: 0.3896 0.3896 0.2786
Li: 0.6670 0.6670 0.3341
Mg: 0.7220 0.7220 0.9427

Structure and simulated PXRD pattern of Sr2La4Mg2RuO12 (a DFT-relaxed cell (PBE, the Materials Project); λ = 1.5418 Å (Cu Kα)).

Peak list (6 most intense, 2θ = 5–70°, low angle first)
| two_theta | d_spacing | I (rel.) |
| --- | --- | --- |
| 23.79 | 3.739 | 28 |
| 31.14 | 2.872 | 100 |
| 32.35 | 2.767 | 76 |
| 43.40 | 2.085 | 37 |
| 46.41 | 1.957 | 40 |
| 56.95 | 1.617 | 38 |

Cell and atoms:
Cell: 19.2297 19.2297 19.2297 Å, 168.32 168.32 16.55°
Atoms (fractional coordinates):
Sr: 0.0485 0.0485 0.0000
Sr: 0.9515 0.9515 0.0000
La: 0.2875 0.2875 0.0000
La: 0.3788 0.3788 0.0000
La: 0.6212 0.6212 0.0000
La: 0.7125 0.7125 0.0000
Mg: 0.1664 0.1664 0.0000
Mg: 0.8336 0.8336 0.0000
Ru: 0.5000 0.5000 0.0000
O: 0.0000 0.5000 0.5000
O: 0.1098 0.1098 0.0000
O: 0.1668 0.6668 0.5000
O: 0.2263 0.2263 0.0000
O: 0.3332 0.8332 0.5000
O: 0.4443 0.4443 0.0000
O: 0.5000 0.0000 0.5000
O: 0.5557 0.5557 0.0000
O: 0.6668 0.1668 0.5000
O: 0.7737 0.7737 0.0000
O: 0.8332 0.3332 0.5000
O: 0.8902 0.8902 0.0000

Structure and simulated PXRD pattern of CaIn6Cu6 (a DFT-relaxed cell (PBE, the Materials Project); λ = 1.5418 Å (Cu Kα)).

Peak list (6 most intense, 2θ = 5–70°, low angle first)
| two_theta | d_spacing | I (rel.) |
| --- | --- | --- |
| 33.07 | 2.708 | 67 |
| 37.72 | 2.385 | 67 |
| 38.56 | 2.335 | 70 |
| 38.69 | 2.327 | 52 |
| 42.64 | 2.120 | 100 |
| 43.61 | 2.076 | 74 |

Cell and atoms:
Cell: 7.1138 7.1138 7.1138 Å, 133.93 99.25 98.36°
Atoms (fractional coordinates):
Ca: 0.0000 0.0000 0.0000
In: 0.1843 0.6843 0.5000
In: 0.3385 0.0000 0.3385
In: 0.3425 0.3425 0.0000
In: 0.6575 0.6575 0.0000
In: 0.6615 0.0000 0.6615
In: 0.8157 0.3157 0.5000
Cu: 0.0000 0.0000 0.5000
Cu: 0.0000 0.5000 0.0000
Cu: 0.2365 0.5000 0.7365
Cu: 0.5000 0.0000 0.0000
Cu: 0.5000 0.5000 0.5000
Cu: 0.7635 0.5000 0.2635

Structure and simulated PXRD pattern of Sr5Pt2N6 (a DFT-relaxed cell (PBE, the Materials Project); λ = 1.5418 Å (Cu Kα)).

Peak list (6 most intense, 2θ = 5–70°, low angle first)
| two_theta | d_spacing | I (rel.) |
| --- | --- | --- |
| 14.32 | 6.185 | 90 |
| 29.97 | 2.982 | 89 |
| 30.51 | 2.930 | 75 |
| 31.51 | 2.839 | 97 |
| 31.99 | 2.798 | 100 |
| 32.61 | 2.746 | 99 |

Cell and atoms:
Cell: 6.4193 6.4193 12.7908 Å, 102.02 102.02 69.96°
Atoms (fractional coordinates):
Sr: 0.1127 0.8873 0.7500
Sr: 0.1828 0.6930 0.9998
Sr: 0.2196 0.4520 0.2745
Sr: 0.3070 0.8172 0.5002
Sr: 0.4520 0.2196 0.7745
Sr: 0.5480 0.7804 0.2255
Sr: 0.6930 0.1828 0.4998
Sr: 0.7804 0.5480 0.7255
Sr: 0.8172 0.3070 0.0002
Sr: 0.8873 0.1127 0.2500
Pt: 0.2056 0.3245 0.5474
Pt: 0.3245 0.2056 0.0474
Pt: 0.6755 0.7944 0.9526
Pt: 0.7944 0.6755 0.4526
N: 0.0851 0.1849 0.6323
N: 0.1849 0.0851 0.1323
N: 0.1845 0.2401 0.9012
N: 0.2401 0.1845 0.4012
N: 0.3947 0.5016 0.6247
N: 0.4984 0.6053 0.8753
N: 0.5016 0.3947 0.1247
N: 0.6053 0.4984 0.3753
N: 0.7599 0.8155 0.5988
N: 0.8155 0.7599 0.0988
N: 0.8151 0.9149 0.8677
N: 0.9149 0.8151 0.3677

Structure and simulated PXRD pattern of MgV2S4 (a DFT-relaxed cell (PBE, the Materials Project); λ = 1.5418 Å (Cu Kα)).

Peak list (6 most intense, 2θ = 5–70°, low angle first)
| two_theta | d_spacing | I (rel.) |
| --- | --- | --- |
| 5.30 | 16.669 | 26 |
| 10.61 | 8.335 | 100 |
| 32.42 | 2.761 | 14 |
| 33.77 | 2.654 | 14 |
| 38.74 | 2.324 | 19 |
| 46.02 | 1.972 | 22 |

Cell and atoms:
Cell: 16.6692 3.2319 3.2319 Å, 60.08 90.00 90.00°
Atoms (fractional coordinates):
Mg: 0.0000 0.0000 0.0000
V: 0.2448 0.6648 0.6648
V: 0.7552 0.6648 0.6648
S: 0.1569 0.0010 0.0010
S: 0.3315 0.3342 0.3342
S: 0.6685 0.3342 0.3342
S: 0.8431 0.0010 0.0010

Structure and simulated PXRD pattern of Ti2ZnO4 (a DFT-relaxed cell (PBE, the Materials Project); λ = 1.5418 Å (Cu Kα)).

Peak list (6 most intense, 2θ = 5–70°, low angle first)
| two_theta | d_spacing | I (rel.) |
| --- | --- | --- |
| 29.86 | 2.993 | 40 |
| 34.37 | 2.609 | 45 |
| 34.88 | 2.572 | 100 |
| 35.13 | 2.554 | 32 |
| 60.71 | 1.526 | 40 |
| 62.02 | 1.496 | 39 |

Cell and atoms:
Cell: 5.9852 5.9852 15.0974 Å, 90.00 90.00 120.00°
Atoms (fractional coordinates):
Ti: 0.0000 0.0000 0.0000
Ti: 0.0000 0.0000 0.3877
Ti: 0.0166 0.5083 0.8758
Ti: 0.1597 0.3194 0.2112
Ti: 0.1597 0.8403 0.2112
Ti: 0.3083 0.1541 0.5392
Ti: 0.3333 0.6667 0.6595
Ti: 0.4917 0.5083 0.8758
Ti: 0.4917 0.9834 0.8758
Ti: 0.6806 0.8403 0.2112
Ti: 0.8459 0.1541 0.5392
Ti: 0.8459 0.6917 0.5392
Zn: 0.0000 0.0000 0.7555
Zn: 0.3333 0.6667 0.0503
Zn: 0.3333 0.6667 0.4060
Zn: 0.6667 0.3333 0.0833
Zn: 0.6667 0.3333 0.3412
Zn: 0.6667 0.3333 0.7124
O: 0.0000 0.0000 0.1254
O: 0.0000 0.0000 0.6243
O: 0.0188 0.5094 0.1376
O: 0.1633 0.3265 0.4604
O: 0.1633 0.8367 0.4604
O: 0.1715 0.3430 0.9595
O: 0.1715 0.8285 0.9595
O: 0.3050 0.1525 0.2946
O: 0.3333 0.6667 0.2788
O: 0.3333 0.6667 0.7835
O: 0.3543 0.1772 0.8034
O: 0.4906 0.5094 0.1376
O: 0.4906 0.9812 0.1376
O: 0.5063 0.0126 0.6211
O: 0.5063 0.4937 0.6211
O: 0.6570 0.8285 0.9595
O: 0.6667 0.3333 0.4738
O: 0.6667 0.3333 0.9510
O: 0.6735 0.8367 0.4604
O: 0.8228 0.1772 0.8034
O: 0.8228 0.6457 0.8034
O: 0.8475 0.1525 0.2946
O: 0.8475 0.6950 0.2946
O: 0.9874 0.4937 0.6211

Structure and simulated PXRD pattern of CeSe2 (a DFT-relaxed cell (PBE, the Materials Project); λ = 1.5418 Å (Cu Kα)).

Peak list (6 most intense, 2θ = 5–70°, low angle first)
| two_theta | d_spacing | I (rel.) |
| --- | --- | --- |
| 5.93 | 14.900 | 100 |
| 6.66 | 13.266 | 26 |
| 11.49 | 7.699 | 15 |
| 11.64 | 7.605 | 23 |
| 13.52 | 6.549 | 15 |
| 15.55 | 5.697 | 21 |

Cell and atoms:
Cell: 12.4810 14.9003 29.0797 Å, 90.00 114.17 90.00°
Atoms (fractional coordinates):
Ce: 0.0000 0.0041 0.2500
Ce: 0.0000 0.9959 0.7500
Ce: 0.0644 0.3242 0.0089
Ce: 0.0644 0.6758 0.5089
Ce: 0.2729 0.1533 0.9211
Ce: 0.2729 0.8467 0.4211
Ce: 0.2882 0.1482 0.1785
Ce: 0.2882 0.8518 0.6785
Ce: 0.3100 0.1022 0.5556
Ce: 0.3100 0.8978 0.0556
Ce: 0.6900 0.1022 0.9444
Ce: 0.6900 0.8978 0.4444
Ce: 0.7118 0.1482 0.3215
Ce: 0.7118 0.8518 0.8215
Ce: 0.7271 0.1533 0.5789
Ce: 0.7271 0.8467 0.0789
Ce: 0.9356 0.3242 0.4911
Ce: 0.9356 0.6758 0.9911
Se: 0.0000 0.5000 0.0000
Se: 0.0000 0.5000 0.5000
Se: 0.1276 0.1079 0.8261
Se: 0.1276 0.8921 0.3261
Se: 0.1306 0.2212 0.5293
Se: 0.1306 0.7788 0.0293
Se: 0.1418 0.1115 0.2239
Se: 0.1418 0.8885 0.7239
Se: 0.1907 0.2977 0.9536
Se: 0.1907 0.7023 0.4536
Se: 0.1922 0.2752 0.1061
Se: 0.1922 0.7248 0.6061
Se: 0.2744 0.0098 0.9778
Se: 0.2744 0.9902 0.4778
Se: 0.3199 0.0054 0.6362
Se: 0.3199 0.9946 0.1362
Se: 0.4873 0.1920 0.9240
Se: 0.4873 0.8080 0.4240
Se: 0.5000 0.1994 0.2500
Se: 0.5000 0.8006 0.7500
Se: 0.5127 0.1920 0.5760
Se: 0.5127 0.8080 0.0760
Se: 0.6801 0.0054 0.8638
Se: 0.6801 0.9946 0.3638
Se: 0.7256 0.0098 0.5222
Se: 0.7256 0.9902 0.0222
Se: 0.8078 0.2752 0.3939
Se: 0.8078 0.7248 0.8939
Se: 0.8093 0.2977 0.5464
Se: 0.8093 0.7023 0.0464
Se: 0.8582 0.1115 0.2761
Se: 0.8582 0.8885 0.7761
Se: 0.8694 0.2212 0.9707
Se: 0.8694 0.7788 0.4707
Se: 0.8724 0.1079 0.6739
Se: 0.8724 0.8921 0.1739

Structure and simulated PXRD pattern of NdNi4B (a DFT-relaxed cell (PBE, the Materials Project); λ = 1.5418 Å (Cu Kα)).

Peak list (6 most intense, 2θ = 5–70°, low angle first)
| two_theta | d_spacing | I (rel.) |
| --- | --- | --- |
| 32.82 | 2.729 | 83 |
| 35.53 | 2.527 | 29 |
| 41.26 | 2.188 | 76 |
| 44.25 | 2.047 | 100 |
| 62.09 | 1.495 | 26 |
| 69.89 | 1.346 | 24 |

Cell and atoms:
Cell: 5.0534 5.0534 6.9808 Å, 90.00 90.00 120.00°
Atoms (fractional coordinates):
Nd: 0.0000 0.0000 0.0000
Nd: 0.0000 0.0000 0.5000
Ni: 0.0000 0.5000 0.2067
Ni: 0.0000 0.5000 0.7933
Ni: 0.3333 0.6667 0.5000
Ni: 0.5000 0.0000 0.2067
Ni: 0.5000 0.0000 0.7933
Ni: 0.5000 0.5000 0.2067
Ni: 0.5000 0.5000 0.7933
Ni: 0.6667 0.3333 0.5000
B: 0.3333 0.6667 0.0000
B: 0.6667 0.3333 0.0000

Structure and simulated PXRD pattern of NaHfScO4 (a DFT-relaxed cell (PBE, the Materials Project); λ = 1.5418 Å (Cu Kα)).

Peak list (6 most intense, 2θ = 5–70°, low angle first)
| two_theta | d_spacing | I (rel.) |
| --- | --- | --- |
| 18.21 | 4.872 | 100 |
| 18.49 | 4.798 | 65 |
| 32.15 | 2.784 | 58 |
| 33.61 | 2.667 | 74 |
| 33.77 | 2.655 | 36 |
| 46.95 | 1.935 | 33 |

Cell and atoms:
Cell: 3.1867 11.3093 9.5957 Å, 90.00 90.00 90.00°
Atoms (fractional coordinates):
Na: 0.0000 0.0992 0.0000
Na: 0.0000 0.9008 0.5000
Na: 0.5000 0.4001 0.5122
Na: 0.5000 0.5999 0.0122
Hf: 0.0000 0.1386 0.3233
Hf: 0.0000 0.3553 0.8364
Hf: 0.0000 0.6447 0.3364
Hf: 0.0000 0.8614 0.8233
Sc: 0.5000 0.1431 0.6774
Sc: 0.5000 0.3622 0.1881
Sc: 0.5000 0.6378 0.6881
Sc: 0.5000 0.8569 0.1774
O: 0.0000 0.0311 0.7375
O: 0.0000 0.2675 0.6441
O: 0.0000 0.3214 0.3302
O: 0.0000 0.4028 0.0468
O: 0.0000 0.5972 0.5468
O: 0.0000 0.6786 0.8302
O: 0.0000 0.7325 0.1441
O: 0.0000 0.9689 0.2375
O: 0.5000 0.0973 0.4600
O: 0.5000 0.1738 0.1839
O: 0.5000 0.2352 0.8743
O: 0.5000 0.4644 0.7782
O: 0.5000 0.5356 0.2782
O: 0.5000 0.7648 0.3743
O: 0.5000 0.8262 0.6839
O: 0.5000 0.9027 0.9600

Structure and simulated PXRD pattern of LaBPt4 (a DFT-relaxed cell (PBE, the Materials Project); λ = 1.5418 Å (Cu Kα)).

Peak list (6 most intense, 2θ = 5–70°, low angle first)
| two_theta | d_spacing | I (rel.) |
| --- | --- | --- |
| 34.39 | 2.608 | 38 |
| 34.85 | 2.575 | 44 |
| 37.48 | 2.400 | 94 |
| 40.05 | 2.251 | 100 |
| 44.45 | 2.038 | 56 |
| 67.62 | 1.385 | 38 |

Cell and atoms:
Cell: 5.5417 5.5417 7.7241 Å, 90.00 90.00 120.00°
Atoms (fractional coordinates):
La: 0.0000 0.0000 0.0000
La: 0.0000 0.0000 0.5000
B: 0.3333 0.6667 0.0000
B: 0.6667 0.3333 0.0000
Pt: 0.0000 0.5000 0.1985
Pt: 0.0000 0.5000 0.8015
Pt: 0.3333 0.6667 0.5000
Pt: 0.5000 0.0000 0.1985
Pt: 0.5000 0.0000 0.8015
Pt: 0.5000 0.5000 0.1985
Pt: 0.5000 0.5000 0.8015
Pt: 0.6667 0.3333 0.5000

Copy entry 3 word for word.
Structure and simulated PXRD pattern of CaIn6Cu6 (a DFT-relaxed cell (PBE, the Materials Project); λ = 1.5418 Å (Cu Kα)).

Peak list (6 most intense, 2θ = 5–70°, low angle first)
| two_theta | d_spacing | I (rel.) |
| --- | --- | --- |
| 33.07 | 2.708 | 67 |
| 37.72 | 2.385 | 67 |
| 38.56 | 2.335 | 70 |
| 38.69 | 2.327 | 52 |
| 42.64 | 2.120 | 100 |
| 43.61 | 2.076 | 74 |

Cell and atoms:
Cell: 7.1138 7.1138 7.1138 Å, 133.93 99.25 98.36°
Atoms (fractional coordinates):
Ca: 0.0000 0.0000 0.0000
In: 0.1843 0.6843 0.5000
In: 0.3385 0.0000 0.3385
In: 0.3425 0.3425 0.0000
In: 0.6575 0.6575 0.0000
In: 0.6615 0.0000 0.6615
In: 0.8157 0.3157 0.5000
Cu: 0.0000 0.0000 0.5000
Cu: 0.0000 0.5000 0.0000
Cu: 0.2365 0.5000 0.7365
Cu: 0.5000 0.0000 0.0000
Cu: 0.5000 0.5000 0.5000
Cu: 0.7635 0.5000 0.2635

Repeat the second record exactly.
Structure and simulated PXRD pattern of Sr2La4Mg2RuO12 (a DFT-relaxed cell (PBE, the Materials Project); λ = 1.5418 Å (Cu Kα)).

Peak list (6 most intense, 2θ = 5–70°, low angle first)
| two_theta | d_spacing | I (rel.) |
| --- | --- | --- |
| 23.79 | 3.739 | 28 |
| 31.14 | 2.872 | 100 |
| 32.35 | 2.767 | 76 |
| 43.40 | 2.085 | 37 |
| 46.41 | 1.957 | 40 |
| 56.95 | 1.617 | 38 |

Cell and atoms:
Cell: 19.2297 19.2297 19.2297 Å, 168.32 168.32 16.55°
Atoms (fractional coordinates):
Sr: 0.0485 0.0485 0.0000
Sr: 0.9515 0.9515 0.0000
La: 0.2875 0.2875 0.0000
La: 0.3788 0.3788 0.0000
La: 0.6212 0.6212 0.0000
La: 0.7125 0.7125 0.0000
Mg: 0.1664 0.1664 0.0000
Mg: 0.8336 0.8336 0.0000
Ru: 0.5000 0.5000 0.0000
O: 0.0000 0.5000 0.5000
O: 0.1098 0.1098 0.0000
O: 0.1668 0.6668 0.5000
O: 0.2263 0.2263 0.0000
O: 0.3332 0.8332 0.5000
O: 0.4443 0.4443 0.0000
O: 0.5000 0.0000 0.5000
O: 0.5557 0.5557 0.0000
O: 0.6668 0.1668 0.5000
O: 0.7737 0.7737 0.0000
O: 0.8332 0.3332 0.5000
O: 0.8902 0.8902 0.0000